Structure and calculated PXRD pattern of NbNiIrO6 (a DFT-relaxed cell (GGA+U, Alexandria); Cu Kα).
No peak broadening, texture or thermal motion is included.

Top 10 peaks for 10° ≤ 2θ ≤ 80°, by angle:
two_theta  d_spacing  I_rel  (hkl)
19.6  4.534  46.9  0 0 2
20.1  4.423  16.4  1 0 0
22.4  3.975  25.5  1 0 1
28.2  3.166  100.0  1 0 2
35.1  2.554  58.0  1 1 0
40.5  2.225  46.8  1 1 2
45.6  1.988  26.4  2 0 2
54.1  1.695  56.9  1 1 4
58.9  1.568  24.4  2 1 2
63.1  1.474  21.1  3 0 0

Crystal structure
Unit cell a=5.1071 b=5.1071 c=9.0680 alpha=90.00 beta=90.00 gamma=120.00
Element x y z (fractional)
Nb (0.3333, 0.6667, 0.2500)
Nb (0.6667, 0.3333, 0.7500)
Ni (0.0000, 0.0000, 0.0000)
Ni (0.0000, 0.0000, 0.5000)
Ir (0.3333, 0.6667, 0.7500)
Ir (0.6667, 0.3333, 0.2500)
O (0.0034, 0.3425, 0.6292)
O (0.0034, 0.6610, 0.8708)
O (0.3390, 0.3425, 0.8708)
O (0.3390, 0.9966, 0.6292)
O (0.3425, 0.0034, 0.1292)
O (0.3425, 0.3390, 0.3708)
O (0.6575, 0.6610, 0.6292)
O (0.6575, 0.9966, 0.8708)
O (0.6610, 0.0034, 0.3708)
O (0.6610, 0.6575, 0.1292)
O (0.9966, 0.3390, 0.1292)
O (0.9966, 0.6575, 0.3708)